1.
The following is a calculated powder XRD pattern of CaZn2H12Br6O6. It was derived from the GGA-PBE geometry in Alexandria, using a wavelength of 1.5418 Å.
Peak positions follow from Bragg's law for the DFT cell and can differ from measured ones.

Cell and atoms:
Lattice parameters (Å, degrees): 8.6725 8.6725 14.1568 107.29 107.29 76.02
Positions (direct):
Ca 0.0691 0.0691 0.2376
Ca 0.9309 0.9309 0.7624
Zn 0.2855 0.2855 0.6580
Zn 0.4528 0.4528 0.1904
Zn 0.5472 0.5472 0.8096
Zn 0.7145 0.7145 0.3420
H 0.0243 0.3509 0.1403
H 0.0741 0.7477 0.5829
H 0.0784 0.2265 0.9041
H 0.1345 0.8040 0.3494
H 0.1525 0.6607 0.8602
H 0.1960 0.8655 0.6506
H 0.2172 0.3662 0.3775
H 0.2265 0.0784 0.9041
H 0.2523 0.9259 0.4171
H 0.3393 0.8475 0.1398
H 0.3509 0.0243 0.1403
H 0.3662 0.2172 0.3775
H 0.6338 0.7828 0.6225
H 0.6491 0.9757 0.8597
H 0.6607 0.1525 0.8602
H 0.7477 0.0741 0.5829
H 0.7735 0.9216 0.0959
H 0.7828 0.6338 0.6225
H 0.8040 0.1345 0.3494
H 0.8475 0.3393 0.1398
H 0.8655 0.1960 0.6506
H 0.9216 0.7735 0.0959
H 0.9259 0.2523 0.4171
H 0.9757 0.6491 0.8597
Br 0.0058 0.6321 0.3998
Br 0.1667 0.5330 0.1200
Br 0.3679 0.9942 0.6002
Br 0.3812 0.3812 0.8491
Br 0.4508 0.4508 0.6216
Br 0.4670 0.8333 0.8800
Br 0.5330 0.1667 0.1200
Br 0.5492 0.5492 0.3784
Br 0.6188 0.6188 0.1509
Br 0.6321 0.0058 0.3998
Br 0.8333 0.4670 0.8800
Br 0.9942 0.3679 0.6002
O 0.0412 0.7226 0.8534
O 0.1112 0.1112 0.8721
O 0.1112 0.8105 0.6535
O 0.1895 0.8888 0.3465
O 0.2493 0.2493 0.3484
O 0.2774 0.9588 0.1466
O 0.7226 0.0412 0.8534
O 0.7507 0.7507 0.6516
O 0.8105 0.1112 0.6535
O 0.8888 0.1895 0.3465
O 0.8888 0.8888 0.1279
O 0.9588 0.2774 0.1466

Most intense lines, 2θ = 10–90°, in order of rising 2θ:
| d/Å | I_rel |
| --- | --- |
| 8.163 | 100 |
| 5.854 | 67 |
| 4.470 | 46 |
| 4.193 | 79 |
| 3.278 | 96 |
| 3.199 | 93 |
| 2.918 | 43 |
| 2.674 | 51 |
| 2.169 | 68 |
| 1.970 | 44 |

***

2.
The following is a calculated powder XRD pattern of Ba2MnGeAu6. It was derived from the GGA-PBE geometry in Alexandria, using a wavelength of 1.5418 Å.
Peak positions follow from Bragg's law for the DFT cell and can differ from measured ones.

Cell and atoms:
Lattice parameters (Å, degrees): 6.9305 6.9617 7.3052 118.45 90.06 119.77
Positions (direct):
Ba 0.2168 0.4332 0.1520
Ba 0.7832 0.5668 0.8480
Mn 0.5000 0.0000 0.0000
Ge 0.0000 0.0000 0.5000
Au 0.2497 0.9215 0.6737
Au 0.2528 0.5025 0.6779
Au 0.3276 0.0730 0.3252
Au 0.6724 0.9270 0.6748
Au 0.7472 0.4975 0.3221
Au 0.7503 0.0785 0.3263

Most intense lines, 2θ = 10–90°, in order of rising 2θ:
| d/Å | I_rel |
| --- | --- |
| 6.104 | 37 |
| 3.129 | 75 |
| 2.863 | 100 |
| 2.856 | 49 |
| 2.525 | 38 |
| 2.511 | 75 |
| 2.263 | 21 |
| 1.903 | 25 |
| 1.741 | 28 |
| 1.718 | 21 |